La2BiO5: calculated powder diffraction line list (copper Kα), based on a DFT-relaxed cell (GGA-PBE, Alexandria).
Kinematic intensities with the Lorentz-polarization factor, no thermal factor.

Top 8 peaks for 10 to 80 degrees two-theta, by intensity:
2θ (°), I (rel.), h k l
26.60, 100, 1 1 2
27.68, 93, -1 1 2
45.18, 28, 2 0 -3
44.92, 27, 0 2 4
31.29, 25, 0 2 1
31.64, 23, 2 0 0
43.70, 23, 2 2 1
31.40, 19, 0 0 3

Structural model:
```
La2BiO5
1.0
5.665 0.000 0.000
0.334 5.717 0.000
0.176 2.851 8.547
La Bi O
4 2 10
direct
0.000 0.000 0.000
0.000 0.338 0.324
0.500 0.839 0.322
0.999 0.678 0.645
0.499 0.187 0.627
0.500 0.482 0.035
0.241 0.682 0.139
0.258 0.979 0.544
0.260 0.502 0.477
0.262 0.182 0.163
0.266 0.271 0.801
0.731 0.932 0.801
0.738 0.655 0.163
0.739 0.021 0.477
0.740 0.478 0.544
0.759 0.177 0.140
```